[1]
# NaTl2InCl5
Simulated powder diffraction line list, CuKα. Input: a GGA-PBE-relaxed structure.
Peak positions follow from Bragg's law for the DFT cell and can differ from measured ones.

Top 10 peaks for 15° ≤ 2θ ≤ 90°, by angle:
two_theta, I (rel.)
23.01, 79
23.62, 84
23.89, 69
24.44, 44
27.66, 46
28.30, 100
31.17, 40
36.28, 30
37.40, 47
37.91, 51

Crystal structure
```
NaTl2InCl5
1.0
2.404 -8.829 0.000
2.404 8.829 0.000
0.000 0.000 12.896
Na Tl In Cl
2 4 2 10
Direct
0.216 0.784 0.500
0.784 0.216 0.000
0.121 0.879 0.169
0.146 0.854 0.788
0.854 0.146 0.288
0.879 0.121 0.669
0.465 0.535 0.943
0.535 0.465 0.443
0.051 0.949 0.514
0.290 0.710 0.142
0.318 0.682 0.863
0.372 0.628 0.493
0.490 0.510 0.256
0.510 0.490 0.756
0.628 0.372 0.993
0.682 0.318 0.363
0.710 0.290 0.642
0.949 0.051 0.014
```

***

[2]
# NaUIn2Cl8
Simulated powder diffraction line list, CuKα. Input: a GGA-PBE-relaxed structure.
Peak positions follow from Bragg's law for the DFT cell and can differ from measured ones.

Top 10 peaks for 15° ≤ 2θ ≤ 90°, by angle:
two_theta, I (rel.)
16.20, 57
16.32, 48
17.29, 95
18.82, 60
23.93, 100
34.47, 57
34.64, 28
36.11, 37
36.28, 22
44.42, 28

Crystal structure
```
NaUIn2Cl8
1.0
6.929 0.000 0.000
0.000 8.801 0.000
-0.590 0.000 6.982
Na U In Cl
1 1 2 8
Direct
0.000 0.000 0.000
0.000 0.500 0.000
0.500 0.232 0.500
0.500 0.768 0.500
0.117 0.290 0.784
0.117 0.710 0.784
0.320 0.000 0.268
0.326 0.500 0.189
0.674 0.500 0.811
0.680 0.000 0.732
0.883 0.290 0.216
0.883 0.710 0.216
```